Entry 1:
This entry pairs a crystal structure of Li2Al3Ag4 with its theoretical PXRD pattern. Radiation: Cu Kα (λ = 1.5418 Å). Structure: DFT lattice parameters and positions (GGA-PBE).

Atomic structure:
```
Li2Al3Ag4
1.0
4.294 0.000 0.000
-2.147 4.098 0.000
-0.003 -0.993 8.269
Li Al Ag
2 3 4
Cartesian
0.003 1.256 1.803
2.142 1.849 6.466
-0.002 0.741 4.645
2.147 0.000 0.000
2.147 2.364 3.624
-0.004 0.424 7.351
-0.004 3.235 5.534
2.149 -0.130 2.735
2.148 2.681 0.918
```

Main lines, low angle first (10 to 90 degrees two-theta):
2θ = 23.18°, rel. 17; 2θ = 26.36°, rel. 50; 2θ = 28.89°, rel. 23; 2θ = 32.90°, rel. 19; 2θ = 39.30°, rel. 100; 2θ = 41.71°, rel. 22; 2θ = 42.09°, rel. 22; 2θ = 60.75°, rel. 13; 2θ = 74.53°, rel. 13; 2θ = 75.04°, rel. 14

---

Entry 2:
This entry pairs a crystal structure of Li3Al2Ag6 with its theoretical PXRD pattern. Radiation: Cu Kα (λ = 1.5418 Å). Structure: DFT lattice parameters and positions (GGA-PBE).

Atomic structure:
```
Li3Al2Ag6
1.0
-1.948 1.948 13.914
1.948 -1.948 13.914
1.948 1.948 -13.914
Li Al Ag
3 2 6
Cartesian
0.000 0.000 0.000
0.000 0.000 4.781
0.000 0.000 23.047
0.000 0.000 10.101
0.000 0.000 17.726
1.948 0.000 2.017
0.000 0.000 7.560
1.948 0.000 11.897
0.000 1.948 2.017
0.000 0.000 20.267
0.000 1.948 11.897
```

Main lines, low angle first (10 to 90 degrees two-theta):
2θ = 19.14°, rel. 100; 2θ = 33.15°, rel. 92; 2θ = 35.03°, rel. 20; 2θ = 37.99°, rel. 22; 2θ = 41.83°, rel. 55; 2θ = 42.61°, rel. 15; 2θ = 46.63°, rel. 38; 2θ = 50.84°, rel. 29; 2θ = 67.30°, rel. 18; 2θ = 85.83°, rel. 16

---

Entry 3:
This entry pairs a crystal structure of Li4Al3Ag2 with its theoretical PXRD pattern. Radiation: Cu Kα (λ = 1.5418 Å). Structure: DFT lattice parameters and positions (GGA-PBE).

Atomic structure:
```
Li4Al3Ag2
1.0
4.488 0.000 0.000
2.229 4.691 0.000
0.081 1.744 6.657
Li Al Ag
4 3 2
Cartesian
1.122 1.540 1.041
3.396 4.853 3.269
3.403 1.582 3.388
5.676 4.895 5.616
1.155 3.218 3.329
3.363 3.123 1.149
3.435 3.312 5.508
1.199 1.676 5.512
5.599 4.759 1.145
```

Main lines, low angle first (10 to 90 degrees two-theta):
2θ = 13.30°, rel. 70; 2θ = 19.56°, rel. 64; 2θ = 20.71°, rel. 89; 2θ = 24.44°, rel. 71; 2θ = 24.63°, rel. 72; 2θ = 40.16°, rel. 100; 2θ = 40.30°, rel. 49; 2θ = 40.66°, rel. 48; 2θ = 40.84°, rel. 48; 2θ = 41.22°, rel. 46

---

Entry 4:
This entry pairs a crystal structure of Li3Al2Ag8 with its theoretical PXRD pattern. Radiation: Cu Kα (λ = 1.5418 Å). Structure: DFT lattice parameters and positions (GGA-PBE).

Atomic structure:
```
Li3Al2Ag8
1.0
2.728 1.575 9.532
-2.728 1.575 9.532
0.000 -3.150 9.532
Li Al Ag
3 2 8
Cartesian
0.000 0.000 0.000
0.000 0.000 5.361
0.000 0.000 23.235
0.000 0.000 10.478
0.000 0.000 18.118
-1.370 -0.791 15.966
0.000 -1.582 12.630
-1.370 0.791 12.630
0.000 0.000 7.984
0.000 0.000 20.612
1.370 -0.791 15.966
0.000 1.582 15.966
1.370 0.791 12.630
```

Main lines, low angle first (10 to 90 degrees two-theta):
2θ = 18.62°, rel. 64; 2θ = 24.44°, rel. 41; 2θ = 28.08°, rel. 20; 2θ = 28.89°, rel. 40; 2θ = 34.19°, rel. 26; 2θ = 38.63°, rel. 100; 2θ = 39.57°, rel. 31; 2θ = 40.20°, rel. 53; 2θ = 43.74°, rel. 40; 2θ = 68.83°, rel. 21

---

Entry 5:
This entry pairs a crystal structure of Li4AlAg2 with its theoretical PXRD pattern. Radiation: Cu Kα (λ = 1.5418 Å). Structure: DFT lattice parameters and positions (GGA-PBE).

Atomic structure:
```
Li4AlAg2
1.0
8.054 0.000 0.000
0.000 9.302 0.000
0.000 0.000 3.301
Li Al Ag
8 2 4
Cartesian
1.483 0.008 0.000
2.015 2.335 1.651
2.013 6.986 1.651
2.544 4.659 0.000
5.510 4.643 0.000
6.042 2.316 1.651
6.040 6.967 1.651
6.571 9.293 0.000
0.000 4.651 1.651
4.027 0.000 1.651
8.053 2.548 0.000
0.001 6.753 0.000
4.026 2.102 0.000
4.028 7.199 0.000
```

Main lines, low angle first (10 to 90 degrees two-theta):
2θ = 14.55°, rel. 32; 2θ = 19.08°, rel. 89; 2θ = 22.07°, rel. 100; 2θ = 27.01°, rel. 43; 2θ = 29.34°, rel. 60; 2θ = 33.28°, rel. 62; 2θ = 35.15°, rel. 44; 2θ = 40.30°, rel. 99; 2θ = 45.02°, rel. 38; 2θ = 53.29°, rel. 27

---

Entry 6:
This entry pairs a crystal structure of Li5Al3Ag2 with its theoretical PXRD pattern. Radiation: Cu Kα (λ = 1.5418 Å). Structure: DFT lattice parameters and positions (GGA-PBE).

Atomic structure:
```
Li5Al3Ag2
1.0
9.309 -3.588 0.000
9.309 3.588 0.000
-0.756 0.000 4.977
Li Al Ag
10 6 4
Cartesian
3.647 1.281 3.686
8.742 3.149 3.733
6.118 0.042 2.670
6.497 -0.042 0.181
4.025 -1.281 1.197
13.837 1.281 3.780
11.366 0.042 4.796
11.744 -0.042 2.307
9.120 -3.149 1.244
14.215 -1.281 1.291
2.418 0.935 0.897
2.040 -0.935 3.385
8.742 0.476 3.733
9.120 -0.476 1.244
15.822 0.935 1.592
15.444 -0.935 4.081
7.626 1.923 1.659
10.614 1.923 0.830
7.248 -1.923 4.147
10.236 -1.923 3.318
```

Main lines, low angle first (10 to 90 degrees two-theta):
2θ = 21.67°, rel. 34; 2θ = 22.85°, rel. 100; 2θ = 24.81°, rel. 51; 2θ = 27.67°, rel. 39; 2θ = 30.60°, rel. 80; 2θ = 38.34°, rel. 41; 2θ = 38.61°, rel. 49; 2θ = 38.88°, rel. 32; 2θ = 42.53°, rel. 46; 2θ = 43.13°, rel. 42

---

Entry 7:
This entry pairs a crystal structure of Li7AlAg3 with its theoretical PXRD pattern. Radiation: Cu Kα (λ = 1.5418 Å). Structure: DFT lattice parameters and positions (GGA-PBE).

Atomic structure:
```
Li7AlAg3
1.0
1.417 -10.488 0.000
1.417 10.488 0.000
0.000 0.000 12.965
Li Al Ag
14 2 6
Cartesian
1.417 9.497 7.576
1.417 9.497 11.871
1.417 8.715 1.498
1.417 8.715 4.984
1.417 7.551 9.723
1.417 5.659 1.499
1.417 5.659 4.983
1.417 -5.659 7.981
1.417 -5.659 11.466
1.417 -7.551 3.241
1.417 -8.715 7.981
1.417 -8.715 11.466
1.417 -9.497 1.094
1.417 -9.497 5.389
1.417 0.017 9.723
1.417 -0.017 3.241
1.417 3.250 0.456
1.417 3.250 6.027
1.417 3.229 9.723
1.417 -3.229 3.241
1.417 -3.250 6.938
1.417 -3.250 12.509
```

Main lines, low angle first (10 to 90 degrees two-theta):
2θ = 10.85°, rel. 35; 2θ = 16.91°, rel. 88; 2θ = 22.25°, rel. 100; 2θ = 25.48°, rel. 69; 2θ = 26.73°, rel. 32; 2θ = 27.52°, rel. 40; 2θ = 34.13°, rel. 60; 2θ = 37.85°, rel. 38; 2θ = 38.21°, rel. 47; 2θ = 43.92°, rel. 77

---

Entry 8:
This entry pairs a crystal structure of LiAl8Ag6 with its theoretical PXRD pattern. Radiation: Cu Kα (λ = 1.5418 Å). Structure: DFT lattice parameters and positions (GGA-PBE).

Atomic structure:
```
LiAl8Ag6
1.0
10.613 0.000 0.000
-5.307 9.191 0.000
0.000 0.000 2.784
Li Al Ag
1 8 6
Cartesian
0.000 0.000 0.000
-0.780 2.509 0.786
-2.743 8.613 0.786
1.783 1.930 1.999
0.000 6.128 2.021
5.307 3.064 0.764
3.524 7.261 0.786
8.050 0.579 1.999
6.087 6.682 1.999
-2.327 5.854 0.641
1.400 4.249 0.641
4.380 0.912 2.144
0.927 8.280 0.641
3.907 4.943 2.144
7.634 3.337 2.144
```

Main lines, low angle first (10 to 90 degrees two-theta):
2θ = 19.31°, rel. 19; 2θ = 25.64°, rel. 100; 2θ = 33.63°, rel. 20; 2θ = 35.20°, rel. 39; 2θ = 36.44°, rel. 21; 2θ = 41.57°, rel. 99; 2θ = 42.89°, rel. 27; 2θ = 45.21°, rel. 39; 2θ = 63.08°, rel. 18; 2θ = 80.95°, rel. 18